Calculated X-ray powder pattern
Compound: InSn2SbAu4
Radiation: CuKα
Structure: a structure optimized by DFT (GGA-PBE)

Main lines, in order of falling intensity (10 to 90 degrees two-theta):
two_theta, I (rel.)
30.9, 100
44.7, 73
31.5, 47
55.3, 39
44.2, 38
81.7, 26
73.0, 17
73.3, 17
74.4, 17
26.8, 17
82.7, 13
64.3, 13

Crystal structure
a b c (Å): 7.0052 5.7963 7.0052
angles (deg): 65.56 48.88 65.56
Element x y z (fractional)
In  0.0000  0.0000  0.0000
Sn  0.2533  0.2533  0.2467
Sn  0.7533  0.7533  0.7467
Sb  0.5025  0.5025  0.4975
Au  0.0026  0.5004  0.9974
Au  0.2517  0.7549  0.2451
Au  0.5004  0.0026  0.4996
Au  0.7549  0.2517  0.7483